Ca3SiO5: calculated PXRD pattern (CuKα), based on a GGA-PBE-relaxed structure.

Cell and atoms:
```
27
Lattice="3.5449 2.0466 8.6032 -3.5449 2.0466 8.6032 0.0000 -4.0933 8.6032" Properties=species:S:1:pos:R:3 pbc="T T T"
Ca -1.6804 -0.9702 8.6032
Ca 0.0000 -1.9464 5.4947
Ca -1.6856 0.9732 5.4947
Ca 0.0000 -1.9465 11.4993
Ca -1.6857 0.9733 11.4993
Ca 1.6804 -0.9702 8.6032
Ca 0.0000 1.9403 8.6032
Ca 1.6856 0.9732 5.4947
Ca 1.6857 0.9733 11.4993
Si 0.0000 0.0000 14.4620
Si 0.0000 0.0000 20.1687
Si 0.0000 0.0000 25.6581
O -2.2141 -1.2783 12.1678
O 0.0000 -2.5486 9.0308
O -2.2072 1.2743 9.0308
O 0.0000 0.0000 3.8052
O 0.0000 0.0000 7.0881
O 0.0000 0.0000 10.2980
O 0.0000 -1.5639 13.9598
O -1.3544 0.7819 13.9598
O 0.0000 0.0000 16.0970
O 2.2141 -1.2783 12.1678
O 0.0000 2.5566 12.1678
O 0.0000 0.0000 18.5455
O 2.2072 1.2743 9.0308
O 1.3544 0.7819 13.9598
O 0.0000 0.0000 23.9757
```

Peak list (6 most intense, 10° ≤ 2θ ≤ 90°, in order of falling intensity)
- 2θ 33.98, d = 2.639 Å, intensity 100
- 2θ 51.56, d = 1.772 Å, intensity 96
- 2θ 29.30, d = 3.048 Å, intensity 88
- 2θ 32.29, d = 2.772 Å, intensity 84
- 2θ 31.19, d = 2.868 Å, intensity 79
- 2θ 40.56, d = 2.224 Å, intensity 61